Entry 1:
# CeAgC2O6
Theoretical PXRD pattern, Cu Kα (λ = 1.5418 Å). Input: the GGA-PBE geometry in Alexandria.
No peak broadening, texture or thermal motion is included.

Largest 6 diffraction maxima, in order of rising 2θ, 2θ = 5–70°:
- 21.2°, intensity 413
- 24.0°, intensity 377
- 24.7°, intensity 301
- 27.0°, intensity 1000
- 27.7°, intensity 457
- 41.1°, intensity 262

Crystal structure
Cell lengths 6.670, 6.670, 7.519 Å; angles 112.25, 112.25, 85.70 degrees
Positions (direct):
Ce1 0.096 0.904 0.750
Ce2 0.904 0.096 0.250
Ag1 0.427 0.573 0.250
Ag2 0.573 0.427 0.750
C1 0.116 0.375 0.788
C2 0.375 0.116 0.288
C3 0.625 0.884 0.712
C4 0.884 0.625 0.212
O1 0.008 0.788 0.374
O2 0.132 0.560 0.780
O3 0.212 0.992 0.126
O4 0.221 0.331 0.953
O5 0.331 0.221 0.453
O6 0.440 0.868 0.720
O7 0.560 0.132 0.280
O8 0.669 0.779 0.547
O9 0.779 0.669 0.047
O10 0.788 0.008 0.874
O11 0.868 0.440 0.220
O12 0.992 0.212 0.626

=====

Entry 2:
# AgSbC2N2Cl2F6
Theoretical PXRD pattern, Cu Kα (λ = 1.5418 Å). Input: the GGA-PBE geometry in Alexandria.
No peak broadening, texture or thermal motion is included.

Largest 6 diffraction maxima, in order of rising 2θ, 2θ = 5–70°:
- 13.5°, intensity 734
- 19.1°, intensity 326
- 22.6°, intensity 625
- 23.3°, intensity 1000
- 24.3°, intensity 329
- 27.0°, intensity 555

Crystal structure
Cell lengths 7.754, 9.386, 9.312 Å; angles 90.00, 122.28, 90.00 degrees
Positions (direct):
Ag1 0.000 0.000 0.000
Ag2 0.000 0.500 0.500
Sb1 0.000 0.000 0.500
Sb2 0.000 0.500 0.000
C1 0.391 0.167 0.047
C2 0.391 0.333 0.547
C3 0.609 0.667 0.453
C4 0.609 0.833 0.953
N1 0.263 0.101 0.046
N2 0.263 0.399 0.546
N3 0.737 0.601 0.454
N4 0.737 0.899 0.954
Cl1 0.431 0.745 0.953
Cl2 0.431 0.755 0.453
Cl3 0.569 0.245 0.547
Cl4 0.569 0.255 0.047
F1 0.084 0.051 0.346
F2 0.084 0.449 0.846
F3 0.115 0.687 0.023
F4 0.115 0.813 0.523
F5 0.259 0.064 0.687
F6 0.259 0.436 0.187
F7 0.741 0.564 0.813
F8 0.741 0.936 0.313
F9 0.885 0.187 0.477
F10 0.885 0.313 0.977
F11 0.916 0.551 0.154
F12 0.916 0.949 0.654

=====

Entry 3:
# AgC4NCl2
Theoretical PXRD pattern, Cu Kα (λ = 1.5418 Å). Input: the GGA-PBE geometry in Alexandria.
No peak broadening, texture or thermal motion is included.

Largest 6 diffraction maxima, in order of rising 2θ, 2θ = 5–70°:
- 9.0°, intensity 1000
- 14.8°, intensity 595
- 18.1°, intensity 226
- 19.6°, intensity 519
- 32.2°, intensity 207
- 37.2°, intensity 224

Crystal structure
Cell lengths 10.860, 10.860, 10.860 Å; angles 146.30, 142.13, 51.59 degrees
Positions (direct):
Ag1 0.249 0.000 0.249
Ag2 0.751 0.000 0.751
C1 0.012 0.332 0.680
C2 0.233 0.620 0.387
C3 0.233 0.846 0.613
C4 0.348 0.668 0.680
C5 0.652 0.332 0.320
C6 0.767 0.154 0.387
C7 0.767 0.380 0.613
C8 0.988 0.668 0.320
N1 0.149 0.649 0.500
N2 0.851 0.351 0.500
Cl1 0.091 0.091 0.000
Cl2 0.500 0.281 0.781
Cl3 0.500 0.719 0.219
Cl4 0.909 0.909 0.000

=====

Entry 4:
# AgC8S4N4Cl
Theoretical PXRD pattern, Cu Kα (λ = 1.5418 Å). Input: the GGA-PBE geometry in Alexandria.
No peak broadening, texture or thermal motion is included.

Largest 6 diffraction maxima, in order of rising 2θ, 2θ = 5–70°:
- 8.4°, intensity 703
- 11.8°, intensity 1000
- 26.6°, intensity 268
- 26.9°, intensity 182
- 29.5°, intensity 247
- 34.1°, intensity 279

Crystal structure
Cell lengths 10.714, 10.714, 10.714 Å; angles 91.44, 91.44, 161.73 degrees
Positions (direct):
Ag1 0.000 0.000 0.000
C1 0.258 0.602 0.254
C2 0.313 0.092 0.762
C3 0.330 0.551 0.238
C4 0.348 0.004 0.746
C5 0.398 0.652 0.656
C6 0.449 0.687 0.779
C7 0.908 0.670 0.221
C8 0.996 0.742 0.344
S1 0.267 0.192 0.786
S2 0.406 0.481 0.214
S3 0.519 0.733 0.924
S4 0.808 0.594 0.076
N1 0.073 0.804 0.457
N2 0.196 0.653 0.269
N3 0.347 0.616 0.543
N4 0.384 0.927 0.731
Cl1 0.250 0.750 0.500

=====

Entry 5:
# AgCClO2
Theoretical PXRD pattern, Cu Kα (λ = 1.5418 Å). Input: the GGA-PBE geometry in Alexandria.
No peak broadening, texture or thermal motion is included.

Largest 6 diffraction maxima, in order of rising 2θ, 2θ = 5–70°:
- 11.9°, intensity 1000
- 23.9°, intensity 581
- 24.3°, intensity 415
- 32.3°, intensity 313
- 36.2°, intensity 214
- 40.6°, intensity 260

Crystal structure
Cell lengths 5.210, 5.536, 7.806 Å; angles 90.00, 107.80, 90.00 degrees
Positions (direct):
Ag1 0.249 0.250 0.498
Ag2 0.751 0.750 0.502
C1 0.254 0.750 0.000
C2 0.746 0.250 0.000
Cl1 0.246 0.750 0.491
Cl2 0.754 0.250 0.509
O1 0.025 0.750 0.915
O2 0.483 0.750 0.086
O3 0.517 0.250 0.914
O4 0.975 0.250 0.085

=====

Entry 6:
# YAgCCl2
Theoretical PXRD pattern, Cu Kα (λ = 1.5418 Å). Input: the GGA-PBE geometry in Alexandria.
No peak broadening, texture or thermal motion is included.

Largest 6 diffraction maxima, in order of rising 2θ, 2θ = 5–70°:
- 19.1°, intensity 1000
- 28.3°, intensity 436
- 34.3°, intensity 461
- 38.8°, intensity 354
- 48.7°, intensity 350
- 52.7°, intensity 264

Crystal structure
Cell lengths 4.645, 4.645, 6.316 Å; angles 90.00, 90.00, 90.00 degrees
Positions (direct):
Y1 0.000 0.000 0.000
Ag1 0.000 0.000 0.500
C1 0.500 0.500 0.000
Cl1 0.000 0.500 0.500
Cl2 0.500 0.000 0.500

=====

Entry 7:
# CoAg3C6N6
Theoretical PXRD pattern, Cu Kα (λ = 1.5418 Å). Input: the GGA-PBE geometry in Alexandria.
No peak broadening, texture or thermal motion is included.

Largest 6 diffraction maxima, in order of rising 2θ, 2θ = 5–70°:
- 13.1°, intensity 597
- 18.9°, intensity 1000
- 27.1°, intensity 462
- 27.3°, intensity 758
- 30.4°, intensity 635
- 38.3°, intensity 723

Crystal structure
Cell lengths 7.553, 7.553, 6.744 Å; angles 90.00, 90.00, 120.00 degrees
Positions (direct):
Co1 0.000 0.000 0.000
Ag1 0.000 0.500 0.500
Ag2 0.500 0.000 0.500
Ag3 0.500 0.500 0.500
C1 0.000 0.199 0.165
C2 0.000 0.801 0.835
C3 0.199 0.000 0.165
C4 0.199 0.199 0.835
C5 0.801 0.000 0.835
C6 0.801 0.801 0.165
N1 0.000 0.319 0.275
N2 0.000 0.681 0.725
N3 0.319 0.000 0.275
N4 0.319 0.319 0.725
N5 0.681 0.000 0.725
N6 0.681 0.681 0.275

=====

Entry 8:
# CuAgC2
Theoretical PXRD pattern, Cu Kα (λ = 1.5418 Å). Input: the GGA-PBE geometry in Alexandria.
No peak broadening, texture or thermal motion is included.

Largest 6 diffraction maxima, in order of rising 2θ, 2θ = 5–70°:
- 25.5°, intensity 501
- 36.8°, intensity 1000
- 49.5°, intensity 206
- 52.4°, intensity 104
- 52.7°, intensity 338
- 56.5°, intensity 271

Crystal structure
Cell lengths 3.683, 3.683, 13.976 Å; angles 90.00, 90.00, 90.00 degrees
Positions (direct):
Cu1 0.000 0.250 0.375
Cu2 0.000 0.750 0.625
Cu3 0.500 0.250 0.125
Cu4 0.500 0.750 0.875
Ag1 0.000 0.250 0.875
Ag2 0.000 0.750 0.125
Ag3 0.500 0.250 0.625
Ag4 0.500 0.750 0.375
C1 0.000 0.000 0.500
C2 0.000 0.500 0.500
C3 0.250 0.250 0.250
C4 0.250 0.750 0.750
C5 0.500 0.000 0.000
C6 0.500 0.500 0.000
C7 0.750 0.250 0.250
C8 0.750 0.750 0.750

=====

Entry 9:
# KCuAg2C4N4
Theoretical PXRD pattern, Cu Kα (λ = 1.5418 Å). Input: the GGA-PBE geometry in Alexandria.
No peak broadening, texture or thermal motion is included.

Largest 6 diffraction maxima, in order of rising 2θ, 2θ = 5–70°:
- 22.5°, intensity 673
- 26.1°, intensity 1000
- 26.8°, intensity 438
- 27.9°, intensity 395
- 31.0°, intensity 518
- 32.0°, intensity 483

Crystal structure
Cell lengths 8.049, 7.557, 7.547 Å; angles 90.00, 101.26, 90.00 degrees
Positions (direct):
K1 0.000 0.247 0.250
K2 0.000 0.753 0.750
Cu1 0.000 0.257 0.750
Cu2 0.000 0.743 0.250
Ag1 0.500 0.000 0.000
Ag2 0.500 0.000 0.500
Ag3 0.500 0.406 0.250
Ag4 0.500 0.594 0.750
C1 0.283 0.082 0.581
C2 0.283 0.918 0.081
C3 0.286 0.399 0.050
C4 0.286 0.601 0.550
C5 0.714 0.399 0.450
C6 0.714 0.601 0.950
C7 0.717 0.082 0.919
C8 0.717 0.918 0.419
N1 0.160 0.129 0.630
N2 0.160 0.871 0.130
N3 0.163 0.381 0.938
N4 0.163 0.619 0.438
N5 0.837 0.381 0.562
N6 0.837 0.619 0.062
N7 0.840 0.129 0.870
N8 0.840 0.871 0.370

=====

Entry 10:
# Dy4AgC
Theoretical PXRD pattern, Cu Kα (λ = 1.5418 Å). Input: the GGA-PBE geometry in Alexandria.
No peak broadening, texture or thermal motion is included.

Largest 6 diffraction maxima, in order of rising 2θ, 2θ = 5–70°:
- 29.7°, intensity 903
- 30.8°, intensity 1000
- 32.2°, intensity 547
- 33.4°, intensity 768
- 34.1°, intensity 919
- 34.9°, intensity 256

Crystal structure
Cell lengths 8.043, 8.043, 6.252 Å; angles 105.32, 105.32, 118.31 degrees
Positions (direct):
Dy1 0.062 0.661 0.853
Dy2 0.176 0.271 0.693
Dy3 0.271 0.176 0.193
Dy4 0.339 0.938 0.647
Dy5 0.661 0.062 0.353
Dy6 0.729 0.824 0.807
Dy7 0.824 0.729 0.307
Dy8 0.938 0.339 0.147
Ag1 0.380 0.620 0.250
Ag2 0.620 0.380 0.750
C1 0.066 0.934 0.750
C2 0.934 0.066 0.250

=====

Entry 11:
# DyAgH2C2SO9
Theoretical PXRD pattern, Cu Kα (λ = 1.5418 Å). Input: the GGA-PBE geometry in Alexandria.
No peak broadening, texture or thermal motion is included.

Largest 6 diffraction maxima, in order of rising 2θ, 2θ = 5–70°:
- 19.8°, intensity 715
- 21.7°, intensity 633
- 23.2°, intensity 948
- 25.6°, intensity 1000
- 31.2°, intensity 568
- 38.7°, intensity 409

Crystal structure
Cell lengths 7.743, 7.743, 9.209 Å; angles 113.88, 113.88, 53.39 degrees
Positions (direct):
Dy1 0.244 0.244 0.263
Dy2 0.756 0.756 0.737
Ag1 0.080 0.080 0.669
Ag2 0.920 0.920 0.331
H1 0.304 0.304 0.984
H2 0.415 0.415 0.146
H3 0.585 0.585 0.854
H4 0.696 0.696 0.016
C1 0.017 0.017 0.932
C2 0.391 0.609 0.500
C3 0.609 0.391 0.500
C4 0.983 0.983 0.068
S1 0.329 0.329 0.702
S2 0.671 0.671 0.298
O1 0.057 0.057 0.214
O2 0.118 0.118 0.975
O3 0.128 0.472 0.772
O4 0.220 0.602 0.408
O5 0.262 0.262 0.521
O6 0.336 0.336 0.103
O7 0.398 0.780 0.592
O8 0.445 0.445 0.746
O9 0.472 0.128 0.772
O10 0.528 0.872 0.228
O11 0.555 0.555 0.254
O12 0.602 0.220 0.408
O13 0.664 0.664 0.897
O14 0.738 0.738 0.479
O15 0.780 0.398 0.592
O16 0.872 0.528 0.228
O17 0.882 0.882 0.025
O18 0.943 0.943 0.786

=====

Entry 12:
# La2DyAgC
Theoretical PXRD pattern, Cu Kα (λ = 1.5418 Å). Input: the GGA-PBE geometry in Alexandria.
No peak broadening, texture or thermal motion is included.

Largest 6 diffraction maxima, in order of rising 2θ, 2θ = 5–70°:
- 30.3°, intensity 1000
- 34.3°, intensity 392
- 36.9°, intensity 159
- 49.2°, intensity 139
- 51.3°, intensity 245
- 58.9°, intensity 302

Crystal structure
Cell lengths 5.234, 5.234, 4.867 Å; angles 90.00, 90.00, 90.00 degrees
Positions (direct):
La1 0.000 0.500 0.000
La2 0.500 0.000 0.000
Dy1 0.000 0.000 0.500
Ag1 0.500 0.500 0.505
C1 0.000 0.000 0.017